1.
Calculated X-ray powder pattern of Sr2CoCO3F5 for Cu Ka, from a DFT-relaxed cell (PBE+U, the Materials Project).
Lines closer than 0.1° are merged.

```
Sr2CoCO3F5
1.0
5.574 0.000 0.000
0.000 8.920 0.000
-3.549 0.000 13.313
Sr Co C O F
8 4 4 12 20
Direct
0.191 0.138 0.416 Sr
0.191 0.362 0.916 Sr
0.192 0.612 0.403 Sr
0.192 0.888 0.903 Sr
0.808 0.112 0.097 Sr
0.808 0.388 0.597 Sr
0.809 0.638 0.084 Sr
0.809 0.862 0.584 Sr
0.309 0.128 0.673 Co
0.309 0.372 0.173 Co
0.691 0.628 0.827 Co
0.691 0.872 0.327 Co
0.321 0.624 0.637 C
0.321 0.876 0.137 C
0.679 0.124 0.863 C
0.679 0.376 0.363 C
0.090 0.619 0.585 O
0.090 0.881 0.085 O
0.365 0.631 0.734 O
0.365 0.869 0.234 O
0.496 0.623 0.591 O
0.496 0.877 0.091 O
0.504 0.123 0.909 O
0.504 0.377 0.409 O
0.635 0.131 0.766 O
0.635 0.369 0.266 O
0.910 0.119 0.915 O
0.910 0.381 0.415 O
0.028 0.630 0.934 F
0.028 0.870 0.434 F
0.170 0.217 0.236 F
0.170 0.283 0.736 F
0.172 0.539 0.227 F
0.172 0.961 0.727 F
0.394 0.217 0.086 F
0.394 0.283 0.586 F
0.417 0.512 0.086 F
0.417 0.988 0.586 F
0.583 0.012 0.414 F
0.583 0.488 0.914 F
0.606 0.717 0.414 F
0.606 0.783 0.914 F
0.828 0.039 0.273 F
0.828 0.461 0.773 F
0.830 0.717 0.264 F
0.830 0.783 0.764 F
0.972 0.130 0.566 F
0.972 0.370 0.066 F
```

Principal peaks in the range 5° ≤ 2θ ≤ 70°, by intensity:
2θ/deg	I/Imax
25.7	100.0
46.0	26.0
27.6	23.9
28.4	23.5
39.2	20.4
49.7	18.6
40.5	17.1
26.8	15.5
27.9	15.3
35.2	14.8

---

2.
Calculated X-ray powder pattern of CoC8S4F12 for Cu Ka, from a DFT-relaxed cell (PBE+U, the Materials Project).
Lines closer than 0.1° are merged.

```
CoC8S4F12
1.0
8.134 0.000 0.000
-1.835 9.888 0.000
-1.577 -2.823 9.799
Co C S F
2 16 8 24
Direct
0.131 0.098 0.473 Co
0.869 0.902 0.527 Co
0.017 0.887 0.184 C
0.032 0.780 0.055 C
0.134 0.071 0.794 C
0.259 0.554 0.731 C
0.266 0.406 0.650 C
0.305 0.119 0.895 C
0.402 0.551 0.303 C
0.416 0.361 0.633 C
0.584 0.639 0.367 C
0.598 0.449 0.697 C
0.695 0.881 0.105 C
0.734 0.594 0.350 C
0.741 0.446 0.269 C
0.866 0.929 0.206 C
0.968 0.220 0.945 C
0.983 0.113 0.816 C
0.075 0.294 0.575 S
0.132 0.963 0.637 S
0.196 0.947 0.308 S
0.401 0.196 0.535 S
0.599 0.804 0.465 S
0.804 0.053 0.692 S
0.868 0.037 0.363 S
0.925 0.706 0.425 S
0.016 0.181 0.060 F
0.069 0.349 0.959 F
0.096 0.565 0.738 F
0.194 0.765 0.059 F
0.283 0.617 0.350 F
0.296 0.098 0.019 F
0.325 0.655 0.673 F
0.349 0.587 0.861 F
0.370 0.526 0.165 F
0.373 0.259 0.915 F
0.376 0.424 0.331 F
0.421 0.048 0.847 F
0.579 0.952 0.153 F
0.624 0.576 0.669 F
0.627 0.741 0.085 F
0.630 0.474 0.835 F
0.651 0.413 0.139 F
0.675 0.345 0.327 F
0.704 0.902 0.981 F
0.717 0.383 0.650 F
0.806 0.235 0.941 F
0.904 0.435 0.262 F
0.931 0.651 0.041 F
0.984 0.819 0.940 F
```

Principal peaks in the range 5° ≤ 2θ ≤ 70°, by intensity:
2θ/deg	I/Imax
12.9	100.0
22.2	72.2
11.0	38.3
20.3	34.2
9.0	33.2
15.6	28.4
30.3	23.8
37.8	22.8
26.0	22.7
11.3	21.3

---

3.
Calculated X-ray powder pattern of K2Fe2Co2C12N12O for Cu Ka, from a DFT-relaxed cell (PBE+U, the Materials Project).
Lines closer than 0.1° are merged.

```
K2Fe2Co2C12N12O
1.0
7.425 0.000 0.000
-0.023 7.963 0.000
-0.025 -0.031 10.854
K Fe Co C N O
2 2 2 12 12 1
Direct
0.000 0.000 0.000 K
0.000 0.000 0.465 K
0.041 0.511 0.234 Fe
0.519 0.012 0.734 Fe
0.017 0.511 0.734 Co
0.538 0.013 0.234 Co
0.031 0.514 0.034 C
0.032 0.514 0.433 C
0.231 0.306 0.234 C
0.246 0.705 0.234 C
0.302 0.197 0.733 C
0.326 0.805 0.733 C
0.527 0.013 0.534 C
0.527 0.013 0.933 C
0.709 0.219 0.734 C
0.724 0.819 0.734 C
0.835 0.318 0.233 C
0.852 0.720 0.234 C
0.021 0.515 0.927 N
0.024 0.515 0.540 N
0.204 0.312 0.733 N
0.226 0.690 0.733 N
0.329 0.191 0.232 N
0.345 0.820 0.234 N
0.537 0.011 0.426 N
0.537 0.014 0.041 N
0.736 0.203 0.232 N
0.757 0.838 0.235 N
0.813 0.329 0.734 N
0.829 0.709 0.735 N
0.075 0.987 0.728 O
```

Principal peaks in the range 5° ≤ 2θ ≤ 70°, by intensity:
2θ/deg	I/Imax
16.3	100.0
33.0	58.9
23.2	39.8
22.3	15.3
47.3	13.4
37.0	12.3
24.0	11.2
11.1	10.2
53.3	9.3
11.9	8.8